# TbScB12
Computed powder XRD pattern, copper Kα. Input: a cell relaxed with GGA-PBE.
Lines closer than 0.1° are merged.

Peak list (10 most intense, 2θ from 10° to 90°, by intensity)
2θ = 30.94°, intensity 100, (1 1 0); 2θ = 21.75°, intensity 49, (1 0 0); 2θ = 10.83°, intensity 48, (0 0 1); 2θ = 49.90°, intensity 47, (2 1 0); 2θ = 38.14°, intensity 44, (1 1 2); 2θ = 24.35°, intensity 33, (1 0 1); 2θ = 68.93°, intensity 28, (2 2 2); 2θ = 44.33°, intensity 22, (2 0 0); 2θ = 55.04°, intensity 22, (2 1 2); 2θ = 73.24°, intensity 20, (3 1 0)

Structural model:
```
data_TbScB12
_chemical_formula_sum 'Tb1 Sc1 B12'
_space_group_name_H-M_alt 'P 4/m m m'
_space_group_IT_number 123
_space_group_name_Hall '-P 4 2'
_cell_length_a 4.0871
_cell_length_b 4.0871
_cell_length_c 8.1725
_cell_angle_alpha 90.00
_cell_angle_beta 90.00
_cell_angle_gamma 90.00
loop_
_atom_site_label
_atom_site_fract_x
_atom_site_fract_y
_atom_site_fract_z
Tb1 0.0000 0.0000 0.0000
Sc1 0.0000 0.0000 0.5000
B1 0.1989 0.5000 0.2510
B2 0.5000 0.5000 0.0999
B3 0.5000 0.5000 0.4011
```